(1)
Diffraction record for Pu3S4. The powder X-ray diffraction pattern is theoretical, not measured: it uses the GGA-PBE geometry in OQMD and Cu Kα (λ = 1.5418 Å).
Kinematic intensities with the Lorentz-polarization factor, no thermal factor.

Atomic structure:
```
Pu3S4
1.0
-4.169 4.169 4.169
4.169 -4.169 4.169
4.169 4.169 -4.169
Pu S
6 8
Cartesian
6.254 1.042 0.000
3.127 0.000 2.085
2.085 3.127 0.000
0.000 2.085 3.127
1.042 0.000 6.254
0.000 6.254 1.042
3.555 0.615 -0.615
5.639 -1.470 1.470
0.615 0.615 0.615
0.615 -0.615 3.555
-0.615 3.555 0.615
1.470 5.639 -1.470
2.699 2.699 2.699
-1.470 1.470 5.639
```

Principal peaks in the range 15° ≤ 2θ ≤ 90°, in order of falling intensity:
d (Å), intensity
3.404, 1000
2.637, 649
2.229, 400
1.865, 339
1.353, 298
1.635, 287
1.135, 231
1.778, 219
1.287, 116
2.948, 95


(2)
Diffraction record for Pu2Se3S. The powder X-ray diffraction pattern is theoretical, not measured: it uses the GGA-PBE geometry in OQMD and Cu Kα (λ = 1.5418 Å).
Kinematic intensities with the Lorentz-polarization factor, no thermal factor.

Atomic structure:
```
Pu2Se3S
1.0
6.587 0.000 0.000
0.146 8.290 0.000
2.755 4.085 6.671
Pu Se S
4 6 2
Cartesian
1.439 4.164 3.316
2.974 10.309 6.668
6.514 2.066 0.002
8.049 8.211 3.354
2.217 2.002 1.650
3.752 8.163 5.018
3.704 4.120 5.006
5.785 8.255 1.665
5.736 4.212 1.652
7.272 10.373 5.020
2.225 6.198 1.759
7.263 6.177 4.911
```

Principal peaks in the range 15° ≤ 2θ ≤ 90°, in order of falling intensity:
d (Å), intensity
2.843, 1000
3.535, 650
2.795, 485
2.073, 411
3.506, 363
1.923, 317
1.951, 298
2.553, 263
2.128, 227
2.077, 217